Calculated X-ray diffraction stick pattern
Compound: LiTl3
Radiation: a wavelength of 1.5418 Å
Structure: a GGA-PBE-relaxed structure
Neutral-atom scattering factors, no anomalous dispersion.

```
data_LiTl3
_cell_length_a 6.598
_cell_length_b 6.624
_cell_length_c 5.881
_cell_angle_alpha 90.00
_cell_angle_beta 123.08
_cell_angle_gamma 90.00
_space_group_name_H-M_alt 'P 1'
_space_group_IT_number 1
loop_
_space_group_symop_operation_xyz
'x,y,z'
loop_
_atom_site_label
_atom_site_type_symbol
_atom_site_fract_x
_atom_site_fract_y
_atom_site_fract_z
_atom_site_occupancy
Li1 Li 0.000 0.000 0.000 1
Li2 Li 0.500 0.500 0.000 1
Tl1 Tl 0.000 0.249 0.500 1
Tl2 Tl 0.000 0.500 0.000 1
Tl3 Tl 0.000 0.751 0.500 1
Tl4 Tl 0.500 0.000 0.000 1
Tl5 Tl 0.500 0.251 0.500 1
Tl6 Tl 0.500 0.749 0.500 1
```

Most intense lines, 2θ from 5° to 70°, in order of falling intensity:
2θ 32.6, intensity 1000
2θ 38.5, intensity 640
2θ 32.4, intensity 507
2θ 32.9, intensity 485
2θ 36.5, intensity 371
2θ 21.1, intensity 311
2θ 20.9, intensity 297
2θ 65.7, intensity 287
2θ 53.7, intensity 249
2θ 54.5, intensity 239

---

Calculated X-ray diffraction stick pattern
Compound: Zn2B2Pt
Radiation: a wavelength of 1.5418 Å
Structure: a GGA-PBE-relaxed structure
Neutral-atom scattering factors, no anomalous dispersion.

```
data_Zn2B2Pt
_cell_length_a 5.638
_cell_length_b 5.638
_cell_length_c 3.571
_cell_angle_alpha 90.00
_cell_angle_beta 90.00
_cell_angle_gamma 90.00
_space_group_name_H-M_alt 'P 1'
_space_group_IT_number 1
loop_
_space_group_symop_operation_xyz
'x,y,z'
loop_
_atom_site_label
_atom_site_type_symbol
_atom_site_fract_x
_atom_site_fract_y
_atom_site_fract_z
_atom_site_occupancy
Zn1 Zn 0.184 0.316 0.000 1
Zn2 Zn 0.316 0.816 0.000 1
Zn3 Zn 0.684 0.184 0.000 1
Zn4 Zn 0.816 0.684 0.000 1
B1 B 0.104 0.604 0.500 1
B2 B 0.396 0.104 0.500 1
B3 B 0.604 0.896 0.500 1
B4 B 0.896 0.396 0.500 1
Pt1 Pt 0.000 0.000 0.500 1
Pt2 Pt 0.500 0.500 0.500 1
```

Most intense lines, 2θ from 5° to 70°, in order of falling intensity:
2θ 40.8, intensity 1000
2θ 33.7, intensity 826
2θ 22.3, intensity 670
2θ 51.2, intensity 565
2θ 45.5, intensity 285
2θ 44.0, intensity 208
2θ 57.8, intensity 175
2θ 35.6, intensity 131
2θ 56.5, intensity 119
2θ 31.7, intensity 113

---

Calculated X-ray diffraction stick pattern
Compound: HfNbMoBr2
Radiation: a wavelength of 1.5418 Å
Structure: a GGA-PBE-relaxed structure
Neutral-atom scattering factors, no anomalous dispersion.

```
data_HfNbMoBr2
_cell_length_a 4.899
_cell_length_b 4.899
_cell_length_c 5.064
_cell_angle_alpha 90.00
_cell_angle_beta 90.00
_cell_angle_gamma 90.00
_space_group_name_H-M_alt 'P 1'
_space_group_IT_number 1
loop_
_space_group_symop_operation_xyz
'x,y,z'
loop_
_atom_site_label
_atom_site_type_symbol
_atom_site_fract_x
_atom_site_fract_y
_atom_site_fract_z
_atom_site_occupancy
Hf1 Hf 0.000 0.000 0.000 1
Nb1 Nb 0.500 0.500 0.000 1
Mo1 Mo 0.500 0.500 0.500 1
Br1 Br 0.000 0.500 0.500 1
Br2 Br 0.500 0.000 0.500 1
```

Most intense lines, 2θ from 5° to 70°, in order of falling intensity:
2θ 31.3, intensity 1000
2θ 36.7, intensity 812
2θ 51.9, intensity 590
2θ 25.3, intensity 473
2θ 35.5, intensity 446
2θ 25.7, intensity 304
2θ 65.3, intensity 294
2θ 52.9, intensity 280
2θ 62.7, intensity 270
2θ 45.1, intensity 204

---

Calculated X-ray diffraction stick pattern
Compound: ReS
Radiation: a wavelength of 1.5418 Å
Structure: a GGA-PBE-relaxed structure
Neutral-atom scattering factors, no anomalous dispersion.

```
data_ReS
_cell_length_a 2.959
_cell_length_b 4.630
_cell_length_c 6.766
_cell_angle_alpha 72.08
_cell_angle_beta 89.74
_cell_angle_gamma 86.36
_space_group_name_H-M_alt 'P 1'
_space_group_IT_number 1
loop_
_space_group_symop_operation_xyz
'x,y,z'
loop_
_atom_site_label
_atom_site_type_symbol
_atom_site_fract_x
_atom_site_fract_y
_atom_site_fract_z
_atom_site_occupancy
Re1 Re 0.213 0.272 0.468 1
Re2 Re 0.787 0.728 0.532 1
S1 S 0.255 0.855 0.763 1
S2 S 0.745 0.145 0.237 1
```

Most intense lines, 2θ from 5° to 70°, in order of falling intensity:
2θ 13.8, intensity 1000
2θ 37.8, intensity 171
2θ 36.0, intensity 125
2θ 42.1, intensity 118
2θ 27.7, intensity 114
2θ 49.4, intensity 108
2θ 43.0, intensity 82
2θ 35.5, intensity 81
2θ 41.1, intensity 78
2θ 41.7, intensity 71

---

Calculated X-ray diffraction stick pattern
Compound: Ba2UFeS5
Radiation: a wavelength of 1.5418 Å
Structure: a GGA-PBE-relaxed structure
Neutral-atom scattering factors, no anomalous dispersion.

```
data_Ba2UFeS5
_cell_length_a 9.104
_cell_length_b 9.104
_cell_length_c 12.953
_cell_angle_alpha 90.00
_cell_angle_beta 90.00
_cell_angle_gamma 153.84
_space_group_name_H-M_alt 'P 1'
_space_group_IT_number 1
loop_
_space_group_symop_operation_xyz
'x,y,z'
loop_
_atom_site_label
_atom_site_type_symbol
_atom_site_fract_x
_atom_site_fract_y
_atom_site_fract_z
_atom_site_occupancy
Ba1 Ba 0.118 0.882 0.500 1
Ba2 Ba 0.121 0.879 0.141 1
Ba3 Ba 0.879 0.121 0.641 1
Ba4 Ba 0.882 0.118 0.000 1
U1 U 0.193 0.807 0.828 1
U2 U 0.807 0.193 0.328 1
Fe1 Fe 0.437 0.563 0.245 1
Fe2 Fe 0.563 0.437 0.745 1
S1 S 0.043 0.957 0.828 1
S2 S 0.303 0.697 0.467 1
S3 S 0.310 0.690 0.190 1
S4 S 0.341 0.659 0.822 1
S5 S 0.497 0.503 0.090 1
S6 S 0.503 0.497 0.590 1
S7 S 0.659 0.341 0.322 1
S8 S 0.690 0.310 0.690 1
S9 S 0.697 0.303 0.967 1
S10 S 0.957 0.043 0.328 1
```

Most intense lines, 2θ from 5° to 70°, in order of falling intensity:
2θ 30.4, intensity 1000
2θ 22.9, intensity 561
2θ 36.2, intensity 485
2θ 31.0, intensity 362
2θ 26.4, intensity 290
2θ 44.0, intensity 272
2θ 17.0, intensity 268
2θ 43.1, intensity 222
2θ 27.3, intensity 220
2θ 50.1, intensity 197

---

Calculated X-ray diffraction stick pattern
Compound: Zn3Cu7Ge
Radiation: a wavelength of 1.5418 Å
Structure: a GGA-PBE-relaxed structure
Neutral-atom scattering factors, no anomalous dispersion.

```
data_Zn3Cu7Ge
_cell_length_a 6.151
_cell_length_b 6.151
_cell_length_c 4.596
_cell_angle_alpha 107.95
_cell_angle_beta 107.95
_cell_angle_gamma 90.29
_space_group_name_H-M_alt 'P 1'
_space_group_IT_number 1
loop_
_space_group_symop_operation_xyz
'x,y,z'
loop_
_atom_site_label
_atom_site_type_symbol
_atom_site_fract_x
_atom_site_fract_y
_atom_site_fract_z
_atom_site_occupancy
Zn1 Zn 0.000 0.000 0.000 1
Zn2 Zn 0.204 0.796 0.500 1
Zn3 Zn 0.796 0.204 0.500 1
Cu1 Cu 0.066 0.586 0.821 1
Cu2 Cu 0.220 0.220 0.560 1
Cu3 Cu 0.414 0.934 0.179 1
Cu4 Cu 0.500 0.500 0.500 1
Cu5 Cu 0.586 0.066 0.821 1
Cu6 Cu 0.780 0.780 0.440 1
Cu7 Cu 0.934 0.414 0.179 1
Ge1 Ge 0.500 0.500 0.000 1
```

Most intense lines, 2θ from 5° to 70°, in order of falling intensity:
2θ 43.5, intensity 1000
2θ 41.4, intensity 751
2θ 39.4, intensity 604
2θ 46.8, intensity 463
2θ 44.7, intensity 387
2θ 48.8, intensity 260
2θ 58.5, intensity 249
2θ 41.7, intensity 244
2θ 23.5, intensity 205
2θ 32.9, intensity 194

---

Calculated X-ray diffraction stick pattern
Compound: Sm2Er12Tm5
Radiation: a wavelength of 1.5418 Å
Structure: a GGA-PBE-relaxed structure
Neutral-atom scattering factors, no anomalous dispersion.

```
data_Sm2Er12Tm5
_cell_length_a 6.087
_cell_length_b 9.298
_cell_length_c 11.096
_cell_angle_alpha 83.08
_cell_angle_beta 79.42
_cell_angle_gamma 70.92
_space_group_name_H-M_alt 'P 1'
_space_group_IT_number 1
loop_
_space_group_symop_operation_xyz
'x,y,z'
loop_
_atom_site_label
_atom_site_type_symbol
_atom_site_fract_x
_atom_site_fract_y
_atom_site_fract_z
_atom_site_occupancy
Sm1 Sm 0.236 0.474 0.080 1
Sm2 Sm 0.764 0.526 0.920 1
Er1 Er 0.027 0.052 0.343 1
Er2 Er 0.133 0.262 0.709 1
Er3 Er 0.184 0.368 0.396 1
Er4 Er 0.290 0.580 0.761 1
Er5 Er 0.394 0.791 0.133 1
Er6 Er 0.446 0.896 0.815 1
Er7 Er 0.554 0.104 0.185 1
Er8 Er 0.606 0.209 0.867 1
Er9 Er 0.710 0.420 0.239 1
Er10 Er 0.816 0.632 0.604 1
Er11 Er 0.867 0.738 0.291 1
Er12 Er 0.973 0.948 0.657 1
Tm1 Tm 0.079 0.156 0.027 1
Tm2 Tm 0.341 0.685 0.447 1
Tm3 Tm 0.500 0.000 0.500 1
Tm4 Tm 0.659 0.315 0.553 1
Tm5 Tm 0.921 0.844 0.973 1
```

Most intense lines, 2θ from 5° to 70°, in order of falling intensity:
2θ 31.2, intensity 1000
2θ 36.2, intensity 506
2θ 61.9, intensity 320
2θ 52.1, intensity 300
2θ 62.0, intensity 106
2θ 65.0, intensity 92
2θ 52.1, intensity 60
2θ 65.1, intensity 31